1.
For BaSrCdBiP, a crystal structure in OQMD, relaxed with GGA-PBE gives the calculated X-ray diffraction stick pattern in this record (Cu Kα).

Cell and atoms:
abc: 9.931 9.931 7.665
angles: 90.00 90.00 153.16
Fractional coordinates of all 10 atoms:
Ba 0.016 0.984 0.500
Ba 0.984 0.016 0.000
Sr 0.187 0.813 0.765
Sr 0.813 0.187 0.265
Cd 0.372 0.628 0.593
Cd 0.628 0.372 0.093
Bi 0.178 0.822 0.280
Bi 0.822 0.178 0.780
P 0.427 0.573 0.286
P 0.573 0.427 0.786

Principal peaks in the range 10 to 90 degrees two-theta, in order of rising 2θ:
| Position (°2θ) | I_rel |
| --- | --- |
| 14.8 | 33 |
| 23.0 | 21 |
| 25.0 | 42 |
| 27.7 | 22 |
| 30.2 | 72 |
| 33.4 | 100 |
| 39.1 | 28 |
| 44.3 | 22 |
| 47.0 | 23 |
| 60.6 | 18 |

2.
For CdPAuO, a crystal structure in OQMD, relaxed with GGA-PBE gives the calculated X-ray diffraction stick pattern in this record (Cu Kα).

Cell and atoms:
abc: 3.500 7.224 5.412
angles: 90.00 90.00 90.00
Fractional coordinates of all 8 atoms:
Cd 0.000 0.155 0.000
Cd 0.000 0.845 0.500
P 0.000 0.470 0.424
P 0.000 0.530 0.924
Au 0.500 0.252 0.419
Au 0.500 0.748 0.919
O 0.500 0.057 0.787
O 0.500 0.943 0.287

Principal peaks in the range 10 to 90 degrees two-theta, in order of rising 2θ:
| Position (°2θ) | I_rel |
| --- | --- |
| 20.5 | 31 |
| 24.6 | 26 |
| 32.9 | 100 |
| 33.1 | 29 |
| 35.7 | 16 |
| 41.0 | 16 |
| 41.7 | 14 |
| 48.9 | 18 |
| 49.5 | 18 |
| 52.3 | 20 |

3.
For Gd2YNi2B2N3, a crystal structure in OQMD, relaxed with GGA-PBE gives the calculated X-ray diffraction stick pattern in this record (Cu Kα).

Cell and atoms:
abc: 10.354 10.354 10.354
angles: 160.56 160.56 27.63
Fractional coordinates of all 10 atoms:
Gd 0.123 0.123 0.000
Gd 0.877 0.877 0.000
Y 0.500 0.500 0.000
Ni 0.250 0.750 0.500
Ni 0.750 0.250 0.500
B 0.311 0.311 0.000
B 0.689 0.689 0.000
N 0.000 0.000 0.000
N 0.383 0.383 0.000
N 0.617 0.617 0.000

Principal peaks in the range 10 to 90 degrees two-theta, in order of rising 2θ:
| Position (°2θ) | I_rel |
| --- | --- |
| 25.9 | 27 |
| 28.8 | 100 |
| 34.0 | 89 |
| 35.7 | 66 |
| 36.3 | 44 |
| 37.5 | 41 |
| 40.7 | 88 |
| 52.3 | 48 |
| 63.9 | 29 |
| 65.0 | 44 |

4.
For Mg2NbBi3Pd3, a crystal structure in OQMD, relaxed with GGA-PBE gives the calculated X-ray diffraction stick pattern in this record (Cu Kα).

Cell and atoms:
abc: 7.876 7.876 7.861
angles: 99.63 99.63 119.79
Fractional coordinates of all 18 atoms:
Mg 0.084 0.916 0.500
Mg 0.246 0.745 0.000
Mg 0.745 0.246 0.500
Mg 0.916 0.084 0.000
Nb 0.411 0.579 0.498
Nb 0.579 0.411 0.998
Bi 0.158 0.331 0.751
Bi 0.331 0.158 0.251
Bi 0.498 0.992 0.751
Bi 0.670 0.836 0.246
Bi 0.836 0.670 0.746
Bi 0.992 0.498 0.251
Pd 0.049 0.216 0.377
Pd 0.216 0.049 0.877
Pd 0.374 0.862 0.377
Pd 0.537 0.691 0.867
Pd 0.691 0.537 0.367
Pd 0.862 0.374 0.877

Principal peaks in the range 10 to 90 degrees two-theta, in order of rising 2θ:
| Position (°2θ) | I_rel |
| --- | --- |
| 24.0 | 100 |
| 24.0 | 33 |
| 27.7 | 41 |
| 39.6 | 99 |
| 39.7 | 98 |
| 46.8 | 18 |
| 46.9 | 51 |
| 57.3 | 33 |
| 71.9 | 22 |
| 72.1 | 28 |

5.
For KRbAg2As2, a crystal structure in OQMD, relaxed with GGA-PBE gives the calculated X-ray diffraction stick pattern in this record (Cu Kα).

Cell and atoms:
abc: 4.626 4.626 7.893
angles: 90.00 90.00 90.00
Fractional coordinates of all 6 atoms:
K 0.000 0.000 0.000
Rb 0.500 0.500 0.675
Ag 0.000 0.500 0.328
Ag 0.500 0.000 0.328
As 0.000 0.000 0.506
As 0.500 0.500 0.147

Principal peaks in the range 10 to 90 degrees two-theta, in order of rising 2θ:
| Position (°2θ) | I_rel |
| --- | --- |
| 11.2 | 100 |
| 29.6 | 45 |
| 29.8 | 46 |
| 35.7 | 72 |
| 38.9 | 50 |
| 40.7 | 18 |
| 44.2 | 18 |
| 49.8 | 21 |
| 56.3 | 16 |
| 68.4 | 20 |

6.
For As2Pt7, a crystal structure in OQMD, relaxed with GGA-PBE gives the calculated X-ray diffraction stick pattern in this record (Cu Kα).

Cell and atoms:
abc: 2.857 2.857 32.426
angles: 90.00 90.00 120.00
Fractional coordinates of all 9 atoms:
As 0.333 0.667 0.228
As 0.667 0.333 0.772
Pt 0.000 0.000 0.289
Pt 0.000 0.000 0.500
Pt 0.000 0.000 0.711
Pt 0.333 0.667 0.431
Pt 0.333 0.667 0.639
Pt 0.667 0.333 0.361
Pt 0.667 0.333 0.569

Principal peaks in the range 10 to 90 degrees two-theta, in order of rising 2θ:
| Position (°2θ) | I_rel |
| --- | --- |
| 38.0 | 44 |
| 38.9 | 100 |
| 40.1 | 14 |
| 41.8 | 15 |
| 44.4 | 39 |
| 46.1 | 42 |
| 65.3 | 30 |
| 66.6 | 15 |
| 78.7 | 28 |
| 80.6 | 14 |

Repeat the second record exactly.
For CdPAuO, a crystal structure in OQMD, relaxed with GGA-PBE gives the calculated X-ray diffraction stick pattern in this record (Cu Kα).

Cell and atoms:
abc: 3.500 7.224 5.412
angles: 90.00 90.00 90.00
Fractional coordinates of all 8 atoms:
Cd 0.000 0.155 0.000
Cd 0.000 0.845 0.500
P 0.000 0.470 0.424
P 0.000 0.530 0.924
Au 0.500 0.252 0.419
Au 0.500 0.748 0.919
O 0.500 0.057 0.787
O 0.500 0.943 0.287

Principal peaks in the range 10 to 90 degrees two-theta, in order of rising 2θ:
| Position (°2θ) | I_rel |
| --- | --- |
| 20.5 | 31 |
| 24.6 | 26 |
| 32.9 | 100 |
| 33.1 | 29 |
| 35.7 | 16 |
| 41.0 | 16 |
| 41.7 | 14 |
| 48.9 | 18 |
| 49.5 | 18 |
| 52.3 | 20 |